This entry pairs a crystal structure of Li4TiCu3P4O16 with its calculated XRD peak list. Radiation: copper Kα. Structure: a GGA-PBE-relaxed structure.

Crystal structure
abc: 5.0941 6.3466 10.1261
angles: 89.98 89.16 88.85
Atoms (fractional coordinates):
Li1 0.0000 0.0000 0.0000
Li2 0.1730 0.4837 0.2193
Li3 0.4439 0.4559 0.7037
Li4 0.6678 0.9877 0.4653
Ti1 0.5320 0.7733 0.8799
Cu1 0.1858 0.7720 0.4021
Cu2 0.6701 0.2747 0.2862
Cu3 0.9560 0.2717 0.7905
P1 0.1450 0.2639 0.4868
P2 0.4962 0.2682 0.9914
P3 0.6560 0.7632 0.1973
P4 0.9485 0.7677 0.7010
O1 0.1925 0.2819 0.6385
O2 0.2415 0.7486 0.7392
O3 0.2637 0.4568 0.4130
O4 0.3007 0.0652 0.4344
O5 0.3548 0.7518 0.2100
O6 0.3655 0.0624 0.9288
O7 0.3918 0.4713 0.9163
O8 0.4065 0.2785 0.1363
O9 0.7230 0.7814 0.0397
O10 0.7724 0.9567 0.2649
O11 0.7769 0.5833 0.7617
O12 0.7974 0.2526 0.9736
O13 0.8045 0.9495 0.7839
O14 0.8050 0.5644 0.2446
O15 0.8450 0.2505 0.4649
O16 0.9062 0.7878 0.5538

Most intense lines, 2θ = 10–80°, low angle first:
(hkl), d/Å, Position (°2θ), Rel. int.
0 0 2, 5.063, 17.52, 60
1 0 1, 4.577, 19.40, 85
1 0 -1, 4.523, 19.63, 35
1 0 2, 3.617, 24.61, 23
0 2 0, 3.171, 28.14, 100
1 -1 2, 3.124, 28.57, 25
1 0 3, 2.832, 31.59, 20
2 0 1, 2.478, 36.25, 21
2 0 -1, 2.461, 36.51, 24
0 1 6, 1.631, 56.42, 25